No. 1
Structure and computed powder XRD pattern of DySi2Ni (a GGA-PBE-relaxed structure; a wavelength of 1.5418 Å).
Lines closer than 0.1° are merged.

Structural model:
abc: 3.992 16.460 3.956
angles: 90.00 90.00 90.00
Element x y z (fractional)
Dy1 0.000 0.106 0.250
Dy2 0.000 0.894 0.750
Dy3 0.500 0.394 0.750
Dy4 0.500 0.606 0.250
Si1 0.000 0.251 0.750
Si2 0.000 0.460 0.250
Si3 0.000 0.540 0.750
Si4 0.000 0.749 0.250
Si5 0.500 0.040 0.750
Si6 0.500 0.249 0.250
Si7 0.500 0.751 0.750
Si8 0.500 0.960 0.250
Ni1 0.000 0.323 0.250
Ni2 0.000 0.677 0.750
Ni3 0.500 0.177 0.750
Ni4 0.500 0.823 0.250

The 12 most intense peaks (2θ from 10° to 80°), sorted by position:
2θ 21.60, I = 35
2θ 22.92, I = 22
2θ 24.98, I = 31
2θ 31.37, I = 28
2θ 32.32, I = 75
2θ 35.34, I = 75
2θ 35.91, I = 100
2θ 40.00, I = 34
2θ 45.44, I = 31
2θ 45.88, I = 30
2θ 55.25, I = 22
2θ 59.21, I = 33

***

No. 2
Structure and computed powder XRD pattern of KCd4As3 (a GGA-PBE-relaxed structure; a wavelength of 1.5418 Å).
Lines closer than 0.1° are merged.

Structural model:
abc: 12.476 12.476 12.476
angles: 21.09 21.09 21.09
Element x y z (fractional)
K1 0.000 0.000 0.000
Cd1 0.198 0.198 0.198
Cd2 0.411 0.411 0.411
Cd3 0.589 0.589 0.589
Cd4 0.802 0.802 0.802
As1 0.272 0.272 0.272
As2 0.500 0.500 0.500
As3 0.728 0.728 0.728

The 12 most intense peaks (2θ from 10° to 80°), sorted by position:
2θ 22.62, I = 26
2θ 24.53, I = 19
2θ 25.61, I = 57
2θ 33.37, I = 74
2θ 39.30, I = 50
2θ 39.47, I = 100
2θ 52.62, I = 20
2θ 55.10, I = 26
2θ 56.92, I = 17
2θ 67.72, I = 18
2θ 71.47, I = 17
2θ 71.59, I = 16

***

No. 3
Structure and computed powder XRD pattern of KNdS2O8 (a GGA-PBE-relaxed structure; a wavelength of 1.5418 Å).
Lines closer than 0.1° are merged.

Structural model:
abc: 8.774 7.279 10.795
angles: 90.00 92.64 90.00
Element x y z (fractional)
K1 0.061 0.151 0.345
K2 0.061 0.349 0.845
K3 0.939 0.651 0.155
K4 0.939 0.849 0.655
Nd1 0.443 0.669 0.650
Nd2 0.443 0.831 0.150
Nd3 0.557 0.169 0.850
Nd4 0.557 0.331 0.350
S1 0.227 0.658 0.409
S2 0.227 0.842 0.909
S3 0.318 0.166 0.609
S4 0.318 0.334 0.109
S5 0.682 0.666 0.891
S6 0.682 0.834 0.391
S7 0.773 0.158 0.091
S8 0.773 0.342 0.591
O1 0.106 0.533 0.367
O2 0.106 0.967 0.867
O3 0.154 0.143 0.606
O4 0.154 0.357 0.106
O5 0.199 0.748 0.530
O6 0.199 0.752 0.030
O7 0.255 0.699 0.813
O8 0.255 0.801 0.313
O9 0.365 0.168 0.189
O10 0.365 0.332 0.689
O11 0.375 0.180 0.483
O12 0.375 0.320 0.983
O13 0.376 0.555 0.438
O14 0.376 0.945 0.938
O15 0.403 0.011 0.677
O16 0.403 0.489 0.177
O17 0.597 0.511 0.823
O18 0.597 0.989 0.323
O19 0.624 0.055 0.062
O20 0.624 0.445 0.562
O21 0.625 0.680 0.017
O22 0.625 0.820 0.517
O23 0.635 0.668 0.311
O24 0.635 0.832 0.811
O25 0.745 0.199 0.687
O26 0.745 0.301 0.187
O27 0.801 0.248 0.970
O28 0.801 0.252 0.470
O29 0.846 0.643 0.894
O30 0.846 0.857 0.394
O31 0.894 0.033 0.133
O32 0.894 0.467 0.633

The 12 most intense peaks (2θ from 10° to 80°), sorted by position:
2θ 10.09, I = 100
2θ 24.46, I = 14
2θ 25.60, I = 37
2θ 27.66, I = 62
2θ 28.43, I = 16
2θ 29.52, I = 48
2θ 33.23, I = 16
2θ 40.11, I = 18
2θ 43.11, I = 15
2θ 46.59, I = 17
2θ 49.83, I = 28
2θ 54.23, I = 13

***

No. 4
Structure and computed powder XRD pattern of Te4Mo3WSe2S2 (a GGA-PBE-relaxed structure; a wavelength of 1.5418 Å).
Lines closer than 0.1° are merged.

Structural model:
abc: 3.398 3.398 38.776
angles: 90.00 90.00 120.00
Element x y z (fractional)
Te1 0.000 0.000 0.000
Te2 0.000 0.000 0.097
Te3 0.000 0.000 0.376
Te4 0.000 0.000 0.472
Mo1 0.000 0.000 0.861
Mo2 0.333 0.667 0.048
Mo3 0.333 0.667 0.424
W1 0.000 0.000 0.236
Se1 0.333 0.667 0.194
Se2 0.333 0.667 0.279
S1 0.333 0.667 0.822
S2 0.333 0.667 0.899

The 12 most intense peaks (2θ from 10° to 80°), sorted by position:
2θ 11.41, I = 96
2θ 13.70, I = 14
2θ 18.30, I = 14
2θ 30.40, I = 63
2θ 34.51, I = 14
2θ 35.69, I = 100
2θ 36.99, I = 19
2θ 43.19, I = 57
2θ 44.94, I = 20
2θ 53.99, I = 39
2θ 66.40, I = 16
2θ 76.14, I = 17

***

No. 5
Structure and computed powder XRD pattern of WN2 (a GGA-PBE-relaxed structure; a wavelength of 1.5418 Å).
Lines closer than 0.1° are merged.

Structural model:
abc: 6.057 10.681 11.670
angles: 90.00 113.03 90.00
Element x y z (fractional)
W1 0.085 0.005 0.304
W2 0.085 0.495 0.804
W3 0.251 0.182 0.912
W4 0.251 0.318 0.412
W5 0.384 0.153 0.675
W6 0.384 0.347 0.175
W7 0.616 0.653 0.825
W8 0.616 0.847 0.325
W9 0.749 0.682 0.588
W10 0.749 0.818 0.088
W11 0.915 0.505 0.196
W12 0.915 0.995 0.696
N1 0.058 0.037 0.864
N2 0.058 0.463 0.364
N3 0.074 0.177 0.337
N4 0.074 0.323 0.837
N5 0.076 0.083 0.614
N6 0.076 0.417 0.114
N7 0.377 0.200 0.086
N8 0.377 0.300 0.586
N9 0.402 0.546 0.854
N10 0.402 0.954 0.354
N11 0.489 0.180 0.847
N12 0.489 0.320 0.347
N13 0.511 0.680 0.653
N14 0.511 0.820 0.153
N15 0.598 0.046 0.646
N16 0.598 0.454 0.146
N17 0.623 0.700 0.414
N18 0.623 0.800 0.914
N19 0.924 0.583 0.886
N20 0.924 0.917 0.386
N21 0.926 0.677 0.163
N22 0.926 0.823 0.663
N23 0.942 0.537 0.636
N24 0.942 0.963 0.136

The 12 most intense peaks (2θ from 10° to 80°), sorted by position:
2θ 16.51, I = 19
2θ 17.94, I = 100
2θ 18.55, I = 51
2θ 23.06, I = 28
2θ 26.26, I = 27
2θ 29.14, I = 19
2θ 29.79, I = 27
2θ 31.97, I = 21
2θ 32.63, I = 30
2θ 34.73, I = 21
2θ 36.28, I = 28
2θ 37.33, I = 30

***

No. 6
Structure and computed powder XRD pattern of NaMg6BO8 (a GGA-PBE-relaxed structure; a wavelength of 1.5418 Å).
Lines closer than 0.1° are merged.

Structural model:
abc: 4.279 4.279 8.400
angles: 90.00 90.00 90.00
Element x y z (fractional)
Na1 0.000 0.000 0.000
Mg1 0.000 0.000 0.500
Mg2 0.000 0.500 0.230
Mg3 0.000 0.500 0.770
Mg4 0.500 0.000 0.230
Mg5 0.500 0.000 0.770
Mg6 0.500 0.500 0.500
B1 0.500 0.500 0.000
O1 0.000 0.000 0.265
O2 0.000 0.000 0.735
O3 0.000 0.500 0.000
O4 0.000 0.500 0.500
O5 0.500 0.000 0.000
O6 0.500 0.000 0.500
O7 0.500 0.500 0.181
O8 0.500 0.500 0.819

The 12 most intense peaks (2θ from 10° to 80°), sorted by position:
2θ 31.96, I = 7
2θ 36.60, I = 13
2θ 38.42, I = 9
2θ 42.24, I = 100
2θ 43.07, I = 33
2θ 53.93, I = 6
2θ 58.41, I = 4
2θ 61.27, I = 28
2θ 61.91, I = 38
2θ 73.53, I = 6
2θ 74.70, I = 5
2θ 77.81, I = 17

***

No. 7
Structure and computed powder XRD pattern of Nd2MnFe3Ge4 (a GGA-PBE-relaxed structure; a wavelength of 1.5418 Å).
Lines closer than 0.1° are merged.

Structural model:
abc: 4.056 4.056 10.401
angles: 90.00 90.00 90.00
Element x y z (fractional)
Nd1 0.000 0.500 0.245
Nd2 0.500 0.000 0.755
Mn1 0.000 0.000 0.500
Fe1 0.000 0.000 0.000
Fe2 0.500 0.500 0.000
Fe3 0.500 0.500 0.500
Ge1 0.000 0.500 0.626
Ge2 0.000 0.500 0.887
Ge3 0.500 0.000 0.113
Ge4 0.500 0.000 0.374

The 12 most intense peaks (2θ from 10° to 80°), sorted by position:
2θ 31.19, I = 30
2θ 34.02, I = 100
2θ 35.76, I = 82
2θ 44.69, I = 58
2θ 47.18, I = 8
2θ 49.23, I = 27
2θ 57.33, I = 44
2θ 62.62, I = 20
2θ 65.05, I = 18
2θ 68.66, I = 20
2θ 75.48, I = 10
2θ 76.50, I = 16

***

No. 8
Structure and computed powder XRD pattern of RbScS2O8 (a GGA-PBE-relaxed structure; a wavelength of 1.5418 Å).
Lines closer than 0.1° are merged.

Structural model:
abc: 5.060 5.060 8.769
angles: 90.00 90.00 120.00
Element x y z (fractional)
Rb1 0.000 0.000 0.000
Sc1 0.000 0.000 0.500
S1 0.333 0.667 0.711
S2 0.667 0.333 0.289
O1 0.096 0.362 0.651
O2 0.266 0.904 0.651
O3 0.333 0.667 0.877
O4 0.362 0.096 0.349
O5 0.638 0.734 0.651
O6 0.667 0.333 0.123
O7 0.734 0.638 0.349
O8 0.904 0.266 0.349

The 12 most intense peaks (2θ from 10° to 80°), sorted by position:
2θ 20.27, I = 32
2θ 22.69, I = 84
2θ 28.81, I = 100
2θ 30.59, I = 14
2θ 35.48, I = 44
2θ 36.98, I = 15
2θ 41.20, I = 14
2θ 46.32, I = 49
2θ 55.47, I = 22
2θ 56.54, I = 11
2θ 59.68, I = 32
2θ 63.71, I = 13

***

No. 9
Structure and computed powder XRD pattern of NdAu (a GGA-PBE-relaxed structure; a wavelength of 1.5418 Å).
Lines closer than 0.1° are merged.

Structural model:
abc: 7.575 4.793 5.858
angles: 90.00 90.00 90.00
Element x y z (fractional)
Nd1 0.189 0.250 0.149
Nd2 0.311 0.750 0.649
Nd3 0.689 0.250 0.351
Nd4 0.811 0.750 0.851
Au1 0.042 0.250 0.654
Au2 0.458 0.750 0.154
Au3 0.542 0.250 0.846
Au4 0.958 0.750 0.346

The 12 most intense peaks (2θ from 10° to 80°), sorted by position:
2θ 19.15, I = 22
2θ 30.07, I = 54
2θ 32.78, I = 33
2θ 33.82, I = 100
2θ 37.53, I = 44
2θ 37.91, I = 78
2θ 38.84, I = 17
2θ 43.35, I = 17
2θ 50.66, I = 41
2θ 63.22, I = 19
2θ 64.72, I = 21
2θ 65.36, I = 15

***

No. 10
Structure and computed powder XRD pattern of Li2SO4 (a GGA-PBE-relaxed structure; a wavelength of 1.5418 Å).
Lines closer than 0.1° are merged.

Structural model:
abc: 8.586 5.029 8.381
angles: 90.00 107.67 90.00
Element x y z (fractional)
Li1 0.121 0.068 0.305
Li2 0.121 0.432 0.805
Li3 0.371 0.072 0.065
Li4 0.371 0.428 0.565
Li5 0.629 0.572 0.435
Li6 0.629 0.928 0.935
Li7 0.879 0.568 0.195
Li8 0.879 0.932 0.695
S1 0.249 0.561 0.191
S2 0.249 0.939 0.691
S3 0.751 0.061 0.309
S4 0.751 0.439 0.809
O1 0.102 0.053 0.727
O2 0.102 0.447 0.227
O3 0.227 0.647 0.664
O4 0.227 0.853 0.164
O5 0.271 0.067 0.540
O6 0.271 0.433 0.040
O7 0.394 0.504 0.338
O8 0.394 0.996 0.838
O9 0.606 0.004 0.162
O10 0.606 0.496 0.662
O11 0.729 0.567 0.960
O12 0.729 0.933 0.460
O13 0.773 0.147 0.836
O14 0.773 0.353 0.336
O15 0.898 0.553 0.773
O16 0.898 0.947 0.273

The 12 most intense peaks (2θ from 10° to 80°), sorted by position:
2θ 21.60, I = 12
2θ 21.73, I = 72
2θ 21.93, I = 100
2θ 22.26, I = 36
2θ 25.10, I = 23
2θ 27.68, I = 49
2θ 28.02, I = 10
2θ 31.62, I = 10
2θ 35.70, I = 24
2θ 36.81, I = 11
2θ 38.29, I = 10
2θ 45.62, I = 12

***

No. 11
Structure and computed powder XRD pattern of NdGd2 (a GGA-PBE-relaxed structure; a wavelength of 1.5418 Å).
Lines closer than 0.1° are merged.

Structural model:
abc: 4.260 4.260 4.268
angles: 90.00 90.00 120.00
Element x y z (fractional)
Nd1 0.000 0.000 0.000
Gd1 0.333 0.667 0.500
Gd2 0.667 0.333 0.500

The 10 most intense peaks (2θ from 10° to 80°), sorted by position:
2θ 20.81, I = 15
2θ 32.07, I = 100
2θ 42.42, I = 71
2θ 47.72, I = 10
2θ 54.17, I = 23
2θ 61.51, I = 36
2θ 65.63, I = 1
2θ 71.02, I = 10
2θ 71.13, I = 20
2θ 77.64, I = 9

***

No. 12
Structure and computed powder XRD pattern of BaMgTiO3 (a GGA-PBE-relaxed structure; a wavelength of 1.5418 Å).
Lines closer than 0.1° are merged.

Structural model:
abc: 3.896 3.896 6.394
angles: 90.00 90.00 90.00
Element x y z (fractional)
Ba1 0.000 0.000 0.000
Mg1 0.000 0.000 0.475
Ti1 0.500 0.500 0.570
O1 0.000 0.500 0.427
O2 0.500 0.000 0.427
O3 0.500 0.500 0.866

The 12 most intense peaks (2θ from 10° to 80°), sorted by position:
2θ 22.83, I = 30
2θ 26.80, I = 100
2θ 27.91, I = 47
2θ 32.50, I = 52
2θ 35.48, I = 30
2θ 36.35, I = 37
2θ 43.36, I = 38
2θ 46.63, I = 33
2θ 48.70, I = 20
2θ 54.59, I = 27
2θ 55.22, I = 26
2θ 60.52, I = 17

***

Q: Which formula does entry 1 have?
A: DySi2Ni